(1)
# ScAl2O4
Computed powder X-ray diffraction pattern, CuKα. Input: a structure optimized by DFT (PBE).
Kinematic intensities with the Lorentz-polarization factor, no thermal factor.

Peak list (10 most intense, 2θ from 5° to 70°, most intense first)
- 2.595 Å, 34.57°, I = 100
- 4.237 Å, 20.97°, I = 33
- 1.641 Å, 56.03°, I = 32
- 1.498 Å, 61.94°, I = 26
- 3.282 Å, 27.17°, I = 26
- 5.191 Å, 17.08°, I = 14
- 1.780 Å, 51.33°, I = 9
- 2.213 Å, 40.77°, I = 7
- 1.962 Å, 46.28°, I = 6
- 1.530 Å, 60.49°, I = 5

Atomic structure:
```
data_ScAl2O4
_space_group_name_H-M_alt 'P -4 2 m'
_space_group_IT_number 111
_space_group_name_Hall 'P -4 2'
_cell_length_a 4.237
_cell_length_b 4.237
_cell_length_c 5.191
_cell_angle_alpha 90.00
_cell_angle_beta 90.00
_cell_angle_gamma 90.00
loop_
_atom_site_label
_atom_site_fract_x
_atom_site_fract_y
_atom_site_fract_z
Sc1 0.000 0.000 0.000
Al1 0.000 0.500 0.500
O1 0.240 0.240 0.309
```

(2)
# AlSeO3
Computed powder X-ray diffraction pattern, CuKα. Input: a structure optimized by DFT (PBE).
Kinematic intensities with the Lorentz-polarization factor, no thermal factor.

Peak list (10 most intense, 2θ from 5° to 70°, most intense first)
- 5.993 Å, 14.78°, I = 100
- 4.603 Å, 19.28°, I = 51
- 3.310 Å, 26.94°, I = 34
- 3.650 Å, 24.38°, I = 32
- 2.609 Å, 34.38°, I = 21
- 1.969 Å, 46.10°, I = 19
- 2.511 Å, 35.76°, I = 12
- 1.534 Å, 60.36°, I = 11
- 2.907 Å, 30.76°, I = 9
- 2.397 Å, 37.52°, I = 9

Atomic structure:
```
data_AlSeO3
_space_group_name_H-M_alt 'I m a 2'
_space_group_IT_number 46
_space_group_name_Hall 'I 2 -2a'
_cell_length_a 11.986
_cell_length_b 8.988
_cell_length_c 5.359
_cell_angle_alpha 90.00
_cell_angle_beta 90.00
_cell_angle_gamma 90.00
loop_
_atom_site_label
_atom_site_fract_x
_atom_site_fract_y
_atom_site_fract_z
Al1 0.250 0.162 0.000
Se1 0.250 0.586 0.757
O1 0.145 0.020 0.124
O2 0.250 0.182 0.684
```